For PrNd2ScTl2, a cell relaxed with GGA-PBE gives the simulated powder X-ray diffraction pattern in this record (λ = 1.5418 Å (Cu Kα)).
Lines closer than 0.1° are merged.

The 10 most intense peaks (5 to 70 degrees two-theta), low angle first:
2θ (°)	I_rel
21.7	12.8
23.3	12.9
29.5	11.5
30.7	24.8
32.0	100.0
34.5	21.3
35.4	30.6
42.1	15.0
57.9	12.0
61.4	15.6

Cell and atoms:
Unit cell a=5.0701 b=10.0374 c=7.1206 alpha=90.00 beta=90.00 gamma=90.00
Sites, in units of the cell vectors:
Pr  0.0000  0.0483  0.0000
Pr  0.0000  0.9517  0.5000
Nd  0.0000  0.3170  0.3830
Nd  0.0000  0.6830  0.8830
Nd  0.5000  0.4482  0.0946
Nd  0.5000  0.5518  0.5946
Sc  0.5000  0.1920  0.7048
Sc  0.5000  0.8080  0.2048
Tl  0.0000  0.3536  0.8305
Tl  0.0000  0.6464  0.3305
Tl  0.5000  0.1179  0.2776
Tl  0.5000  0.8821  0.7776

For BaHfAsO5, a cell relaxed with GGA-PBE gives the simulated powder X-ray diffraction pattern in this record (λ = 1.5418 Å (Cu Kα)).
Lines closer than 0.1° are merged.

The 10 most intense peaks (5 to 70 degrees two-theta), low angle first:
2θ (°)	I_rel
16.0	33.9
24.6	100.0
26.6	78.6
30.5	94.2
31.1	58.7
33.4	35.4
34.5	24.5
38.5	24.5
49.5	29.4
58.2	23.3

Cell and atoms:
Unit cell a=6.1284 b=6.1284 c=7.8507 alpha=104.92 beta=104.92 gamma=105.67
Sites, in units of the cell vectors:
Ba  0.1750  0.8250  0.7500
Ba  0.8250  0.1750  0.2500
Hf  0.5000  0.5000  0.0000
Hf  0.5000  0.5000  0.5000
As  0.1881  0.8119  0.2500
As  0.8119  0.1881  0.7500
O  0.1261  0.2621  0.8977
O  0.2051  0.6128  0.4015
O  0.2621  0.1261  0.3977
O  0.3872  0.7949  0.0985
O  0.4453  0.5547  0.7500
O  0.5547  0.4453  0.2500
O  0.6128  0.2051  0.9015
O  0.7379  0.8739  0.6023
O  0.7949  0.3872  0.5985
O  0.8739  0.7379  0.1023

Which formula does entry 1 have?
PrNd2ScTl2

What is the formula in the second record?
BaHfAsO5